Starting from the PBE+U geometry in Alexandria, the X-ray powder pattern of LaTiCrO6 was calculated for Cu Kα.

Main lines, sorted by position (2θ from 10° to 90°):
2θ/deg  I (rel.)
20.01  62
20.14  66
33.01  100
33.34  20
38.80  23
38.98  21
39.19  23
47.63  32
58.96  21
69.26  21

Structure:
```
18
Lattice="5.375 0.000 0.000 0.000 5.427 0.000 -5.376 0.000 7.711" Properties=species:S:1:pos:R:3 pbc="T T T"
La 0.000 1.203 0.000
La -2.688 4.223 3.855
Ti 2.637 1.427 1.903
Ti -0.051 4.000 5.758
Cr -2.697 1.404 5.736
Cr -0.009 4.023 1.880
O -1.109 2.564 1.765
O -3.797 2.863 5.621
O -2.415 1.358 3.921
O 0.273 4.069 0.065
O 2.475 1.408 0.035
O -0.213 4.019 3.890
O 1.327 0.110 2.131
O -1.361 5.316 5.986
O -1.193 2.498 6.006
O 1.495 2.929 2.150
O 1.397 0.167 5.674
O 4.085 5.260 1.819
```